For V4O5F7, DFT lattice parameters and positions (PBE+U) gives the simulated powder diffractogram in this record (CuKα).
Neutral-atom scattering factors, no anomalous dispersion.

Top 10 peaks for 10° ≤ 2θ ≤ 90°, in order of rising 2θ:
| two_theta | I (rel.) |
| --- | --- |
| 23.73 | 100.0 |
| 23.83 | 52.3 |
| 33.32 | 13.8 |
| 39.89 | 7.2 |
| 40.05 | 7.7 |
| 48.56 | 21.9 |
| 48.77 | 9.6 |
| 54.16 | 9.8 |
| 54.23 | 12.0 |
| 55.26 | 7.2 |

```
V4O5F7
1.0
5.2022 0.0000 0.0000
-0.0193 5.3883 0.0000
-0.0337 -0.2740 7.5032
V O F
4 5 7
direct
0.0000 0.0000 0.0000
0.0121 0.0178 0.4876
0.4510 0.4996 0.9987
0.5130 0.5085 0.4997
0.0560 0.9867 0.2651
0.1883 0.2683 0.5452
0.2025 0.6957 0.9641
0.2512 0.1952 0.9680
0.7617 0.6922 0.4657
0.2629 0.7759 0.5591
0.3801 0.4852 0.2566
0.5759 0.4689 0.7541
0.6844 0.1834 0.4600
0.7018 0.7748 0.0444
0.7498 0.2753 0.0495
0.8882 0.9808 0.7480
```